Entry 1:
Nd2NCl3: simulated powder diffraction line list (Cu Kα (weighted mean of Kα1 and Kα2)), based on a crystal structure in Alexandria, relaxed with PBE.
Intensities are scaled so that the largest is 1000.

Peak list (12 most intense, 2θ = 10–90°, low angle first)
d_spacing, intensity
6.775, 185
6.159, 291
3.837, 1000
3.147, 196
2.802, 164
2.739, 410
2.517, 564
2.306, 146
2.272, 188
1.925, 184
1.835, 140
1.533, 159

Structure:
a b c (Å): 13.5509 6.9145 6.2943
angles (deg): 90.00 90.00 90.00
Sites, in units of the cell vectors:
Nd  0.0922  0.1749  0.0058
Nd  0.0922  0.8251  0.5058
Nd  0.4078  0.3251  0.5058
Nd  0.4078  0.6749  0.0058
Nd  0.5922  0.3251  0.9942
Nd  0.5922  0.6749  0.4942
Nd  0.9078  0.1749  0.4942
Nd  0.9078  0.8251  0.9942
N  0.0000  0.0073  0.7500
N  0.0000  0.9927  0.2500
N  0.5000  0.4927  0.2500
N  0.5000  0.5073  0.7500
Cl  0.0000  0.4987  0.7500
Cl  0.0000  0.5013  0.2500
Cl  0.2196  0.1345  0.3897
Cl  0.2196  0.8655  0.8897
Cl  0.2804  0.3655  0.8897
Cl  0.2804  0.6345  0.3897
Cl  0.5000  0.0013  0.2500
Cl  0.5000  0.9987  0.7500
Cl  0.7196  0.3655  0.6103
Cl  0.7196  0.6345  0.1103
Cl  0.7804  0.1345  0.1103
Cl  0.7804  0.8655  0.6103

---

Entry 2:
Nd2SmN2Cl2: simulated powder diffraction line list (Cu Kα (weighted mean of Kα1 and Kα2)), based on a crystal structure in Alexandria, relaxed with PBE.
Intensities are scaled so that the largest is 1000.

Peak list (12 most intense, 2θ = 10–90°, low angle first)
d_spacing, intensity
7.515, 658
3.389, 235
3.253, 917
2.986, 163
2.517, 1000
2.301, 433
2.200, 128
1.698, 596
1.627, 163
1.455, 189
1.365, 268
1.175, 177

Structure:
a b c (Å): 8.1894 8.1894 8.1894
angles (deg): 147.37 147.37 46.82
Sites, in units of the cell vectors:
Nd  0.0989  0.0989  0.0000
Nd  0.9011  0.9011  0.0000
Sm  0.5000  0.5000  0.0000
N  0.0000  0.5000  0.5000
N  0.5000  0.0000  0.5000
Cl  0.3112  0.3112  0.0000
Cl  0.6888  0.6888  0.0000

---

Entry 3:
PaNiN2Cl: simulated powder diffraction line list (Cu Kα (weighted mean of Kα1 and Kα2)), based on a crystal structure in Alexandria, relaxed with PBE.
Intensities are scaled so that the largest is 1000.

Peak list (12 most intense, 2θ = 10–90°, low angle first)
d_spacing, intensity
8.440, 1000
4.417, 243
3.899, 440
3.139, 203
2.813, 174
2.794, 455
2.763, 230
2.747, 477
2.306, 166
2.293, 186
2.198, 212
1.902, 161

Structure:
a b c (Å): 4.6147 4.3961 8.6888
angles (deg): 90.00 103.74 90.00
Sites, in units of the cell vectors:
Pa  0.1313  0.2500  0.1746
Pa  0.8687  0.7500  0.8254
Ni  0.4253  0.2500  0.9039
Ni  0.5747  0.7500  0.0961
N  0.0171  0.2500  0.8161
N  0.1694  0.7500  0.0713
N  0.8306  0.2500  0.9287
N  0.9829  0.7500  0.1839
Cl  0.3037  0.7500  0.6200
Cl  0.6963  0.2500  0.3800

---

Entry 4:
NpN2Cl5: simulated powder diffraction line list (Cu Kα (weighted mean of Kα1 and Kα2)), based on a crystal structure in Alexandria, relaxed with PBE.
Intensities are scaled so that the largest is 1000.

Peak list (12 most intense, 2θ = 10–90°, low angle first)
d_spacing, intensity
7.849, 1000
7.766, 874
5.540, 259
5.502, 251
4.847, 543
4.763, 598
3.925, 182
3.883, 239
3.651, 146
2.666, 184
2.615, 274
2.526, 156

Structure:
a b c (Å): 5.3387 8.1367 8.2894
angles (deg): 84.14 71.25 72.65
Sites, in units of the cell vectors:
Np  0.0000  0.0000  0.0000
N  0.3313  0.5009  0.3436
N  0.6745  0.5033  0.6564
Cl  0.1455  0.6826  0.9990
Cl  0.1552  0.0032  0.6858
Cl  0.5000  0.0000  0.0000
Cl  0.8446  0.9968  0.3142
Cl  0.8545  0.3174  0.0010

---

Entry 5:
Os2N4Cl10O: simulated powder diffraction line list (Cu Kα (weighted mean of Kα1 and Kα2)), based on a crystal structure in Alexandria, relaxed with PBE.
Intensities are scaled so that the largest is 1000.

Peak list (12 most intense, 2θ = 10–90°, low angle first)
d_spacing, intensity
6.772, 1000
5.239, 397
4.449, 127
4.172, 157
3.264, 156
3.250, 203
3.043, 173
2.619, 239
2.352, 96
2.219, 99
2.041, 199
1.750, 101

Structure:
a b c (Å): 9.8530 9.8530 9.8530
angles (deg): 135.83 135.83 64.24
Sites, in units of the cell vectors:
Os  0.1111  0.1111  0.0000
Os  0.8889  0.8889  0.0000
N  0.0000  0.5000  0.5000
N  0.2500  0.7500  0.5000
N  0.5000  0.0000  0.5000
N  0.7500  0.2500  0.5000
Cl  0.1089  0.1089  0.4402
Cl  0.1089  0.6687  0.0000
Cl  0.2468  0.2468  0.0000
Cl  0.3313  0.3313  0.4402
Cl  0.3313  0.8911  0.0000
Cl  0.6687  0.1089  0.0000
Cl  0.6687  0.6687  0.5598
Cl  0.7532  0.7532  0.0000
Cl  0.8911  0.3313  0.0000
Cl  0.8911  0.8911  0.5598
O  0.0000  0.0000  0.0000